Diffraction record for CaHgO2. The powder X-ray diffraction pattern is theoretical, not measured: it uses a crystal structure in the Materials Project, relaxed with PBE and CuKα.
Intensities are scaled so that the largest is 100.

Structural model:
```
data_CaHgO2
_chemical_formula_sum 'Ca3 Hg3 O6'
_cell_length_a 3.6410
_cell_length_b 3.6410
_cell_length_c 18.8850
_cell_angle_alpha 90.00
_cell_angle_beta 90.00
_cell_angle_gamma 120.00
_space_group_name_H-M_alt 'R -3 m'
_space_group_IT_number 166
_space_group_name_Hall '-R 3 2"'
loop_
_atom_site_label
_atom_site_fract_x
_atom_site_fract_y
_atom_site_fract_z
Ca1 0.0000 0.0000 0.0000
Hg1 0.0000 0.0000 0.5000
O1 0.0000 0.0000 0.3939
```

Principal peaks in the range 10° ≤ 2θ ≤ 80°, low angle first:
2θ 14.07, I 57, hkl 0 0 3; 2θ 28.36, I 29, hkl 0 0 6; 2θ 28.70, I 60, hkl 1 0 1; 2θ 29.87, I 100, hkl 0 1 2; 2θ 34.20, I 51, hkl 1 0 4; 2θ 48.15, I 29, hkl 0 1 8



Diffraction record for CsMg14Cd. The powder X-ray diffraction pattern is theoretical, not measured: it uses a crystal structure in the Materials Project, relaxed with PBE and CuKα.
Intensities are scaled so that the largest is 100.

Structural model:
```
data_CsMg14Cd
_chemical_formula_sum 'Cs2 Mg28 Cd2'
_cell_length_a 10.842
_cell_length_b 6.552
_cell_length_c 11.517
_cell_angle_alpha 90.00
_cell_angle_beta 90.00
_cell_angle_gamma 90.00
_space_group_name_H-M_alt 'A m m 2'
_space_group_IT_number 38
loop_
_space_group_symop_operation_xyz
'x,y,z'
'-x,-y,z'
'-x,y,z'
'x,-y,z'
'x,y+1/2,z+1/2'
'-x,-y+1/2,z+1/2'
'-x,y+1/2,z+1/2'
'x,-y+1/2,z+1/2'
loop_
_atom_site_label
_atom_site_fract_x
_atom_site_fract_y
_atom_site_fract_z
Cs1 0.000 0.000 0.000
Mg1 0.000 0.242 0.252
Mg2 0.247 0.000 0.666
Mg3 0.270 0.000 0.173
Mg4 0.271 0.241 0.413
Mg5 0.500 0.000 0.000
Mg6 0.500 0.000 0.503
Mg7 0.500 0.246 0.749
Cd1 0.000 0.000 0.496
```

Principal peaks in the range 10° ≤ 2θ ≤ 80°, low angle first:
2θ 16.35, I 24, hkl 2 0 0; 2θ 17.44, I 38, hkl 1 0 2; 2θ 31.42, I 30, hkl 0 2 2; 2θ 33.05, I 38, hkl 4 0 0; 2θ 35.30, I 51, hkl 2 0 4; 2θ 35.61, I 100, hkl 2 2 2



Diffraction record for La2AlNi9H2. The powder X-ray diffraction pattern is theoretical, not measured: it uses a crystal structure in the Materials Project, relaxed with PBE and CuKα.
Intensities are scaled so that the largest is 100.

Structural model:
```
data_La2AlNi9H2
_chemical_formula_sum 'La2 Al1 Ni9 H2'
_cell_length_a 5.030
_cell_length_b 5.054
_cell_length_c 8.112
_cell_angle_alpha 88.97
_cell_angle_beta 89.02
_cell_angle_gamma 61.37
_space_group_name_H-M_alt 'P 1'
_space_group_IT_number 1
loop_
_space_group_symop_operation_xyz
'x,y,z'
loop_
_atom_site_label
_atom_site_fract_x
_atom_site_fract_y
_atom_site_fract_z
La1 0.000 0.000 0.000
La2 0.008 0.010 0.524
Al1 0.507 0.509 0.268
Ni1 0.001 0.508 0.765
Ni2 0.332 0.349 0.516
Ni3 0.334 0.353 0.015
Ni4 0.496 0.521 0.764
Ni5 0.498 0.999 0.766
Ni6 0.518 0.003 0.269
Ni7 0.668 0.665 0.016
Ni8 0.674 0.677 0.515
Ni9 0.997 0.527 0.270
H1 0.210 0.222 0.170
H2 0.693 0.167 0.764
```

Principal peaks in the range 10° ≤ 2θ ≤ 80°, low angle first:
2θ 41.57, I 100, hkl 1 -1 2; 2θ 41.79, I 38, hkl 1 2 2; 2θ 41.95, I 39, hkl 2 1 2; 2θ 42.51, I 37, hkl 1 2 -2; 2θ 42.64, I 37, hkl 2 1 -2; 2θ 44.70, I 63, hkl 0 0 4



Diffraction record for AlPO6. The powder X-ray diffraction pattern is theoretical, not measured: it uses a crystal structure in the Materials Project, relaxed with PBE and CuKα.
Intensities are scaled so that the largest is 100.

Structural model:
```
data_AlPO6
_chemical_formula_sum 'Al6 P6 O36'
_cell_length_a 9.119
_cell_length_b 9.584
_cell_length_c 9.677
_cell_angle_alpha 94.90
_cell_angle_beta 101.62
_cell_angle_gamma 95.93
_space_group_name_H-M_alt 'P 1'
_space_group_IT_number 1
loop_
_space_group_symop_operation_xyz
'x,y,z'
loop_
_atom_site_label
_atom_site_fract_x
_atom_site_fract_y
_atom_site_fract_z
Al1 0.000 0.000 0.000
Al2 0.047 0.207 0.459
Al3 0.244 0.539 0.250
Al4 0.302 0.740 0.718
Al5 0.442 0.973 0.241
Al6 0.842 0.768 0.466
P1 0.050 0.528 0.479
P2 0.087 0.984 0.687
P3 0.199 0.754 0.022
P4 0.249 0.217 0.225
P5 0.496 0.757 0.473
P6 0.801 0.993 0.245
O1 0.016 0.378 0.520
O2 0.061 0.832 0.030
O3 0.077 0.026 0.841
O4 0.091 0.516 0.332
O5 0.098 0.117 0.610
O6 0.123 0.144 0.103
O7 0.179 0.611 0.590
O8 0.187 0.621 0.098
O9 0.196 0.710 0.864
O10 0.197 0.211 0.368
O11 0.230 0.910 0.681
O12 0.255 0.923 0.319
O13 0.288 0.371 0.200
O14 0.349 0.850 0.091
O15 0.357 0.323 0.844
O16 0.395 0.147 0.233
O17 0.398 0.641 0.365
O18 0.413 0.626 0.837
O19 0.441 0.236 0.885
O20 0.448 0.884 0.858
O21 0.449 0.764 0.615
O22 0.488 0.903 0.412
O23 0.595 0.373 0.576
O24 0.614 0.372 0.454
O25 0.630 0.997 0.212
O26 0.654 0.161 0.754
O27 0.660 0.729 0.494
O28 0.704 0.594 0.167
O29 0.771 0.141 0.841
O30 0.781 0.610 0.078
O31 0.799 0.006 0.848
O32 0.841 0.858 0.315
O33 0.859 0.993 0.107
O34 0.878 0.124 0.349
O35 0.907 0.602 0.465
O36 0.948 0.880 0.612
```

Principal peaks in the range 10° ≤ 2θ ≤ 80°, low angle first:
2θ 18.95, I 100, hkl 1 1 1; 2θ 19.37, I 36, hkl 1 0 -2; 2θ 20.11, I 82, hkl 1 -2 0; 2θ 24.48, I 61, hkl 2 0 -2; 2θ 27.01, I 41, hkl 2 1 1; 2θ 30.06, I 51, hkl 1 -3 1



Diffraction record for Rb2ScAgBr6. The powder X-ray diffraction pattern is theoretical, not measured: it uses a crystal structure in the Materials Project, relaxed with PBE and CuKα.
Intensities are scaled so that the largest is 100.

Structural model:
```
data_Rb2ScAgBr6
_chemical_formula_sum 'Rb8 Sc4 Ag4 Br24'
_cell_length_a 11.069
_cell_length_b 11.069
_cell_length_c 11.069
_cell_angle_alpha 90.00
_cell_angle_beta 90.00
_cell_angle_gamma 90.00
_space_group_name_H-M_alt 'F m -3 m'
_space_group_IT_number 225
_space_group_name_Hall '-F 4 2 3'
loop_
_atom_site_label
_atom_site_fract_x
_atom_site_fract_y
_atom_site_fract_z
Rb1 0.250 0.250 0.250
Sc1 0.000 0.000 0.000
Ag1 0.000 0.000 0.500
Br1 0.000 0.000 0.241
```

Principal peaks in the range 10° ≤ 2θ ≤ 80°, low angle first:
2θ 27.92, I 75, hkl 2 2 2; 2θ 32.35, I 100, hkl 4 0 0; 2θ 46.40, I 70, hkl 4 4 0; 2θ 55.03, I 32, hkl 6 2 2; 2θ 57.70, I 24, hkl 4 4 4; 2θ 77.06, I 30, hkl 8 4 0